Starting from a structure optimized by DFT (PBE+U), the XRD peak list of MgV6H6O18 was calculated for Cu Kα.
Peak positions follow from Bragg's law for the DFT cell and can differ from measured ones.

Most intense lines, 2θ = 5–70°, in order of rising 2θ:
- 11.7°, rel. 100.0
- 15.0°, rel. 17.2
- 17.9°, rel. 13.7
- 24.2°, rel. 20.1
- 25.2°, rel. 10.0
- 25.4°, rel. 12.2
- 25.9°, rel. 23.5
- 26.1°, rel. 36.2
- 26.3°, rel. 19.3
- 31.0°, rel. 9.8

```
data_MgV6H6O18
_chemical_formula_sum 'Mg1 V6 H6 O18'
_cell_length_a 5.281
_cell_length_b 8.011
_cell_length_c 9.467
_cell_angle_alpha 90.24
_cell_angle_beta 90.82
_cell_angle_gamma 108.54
_symmetry_space_group_name_H-M 'P 1'
_symmetry_Int_Tables_number 1
_symmetry_space_group_name_Hall 'P 1'
loop_
_atom_site_label
_atom_site_fract_x
_atom_site_fract_y
_atom_site_fract_z
_atom_site_occupancy
Mg1 0.000 0.000 0.000 1
V1 0.001 0.327 0.679 1
V2 0.296 0.414 0.172 1
V3 0.452 0.192 0.492 1
V4 0.454 0.209 0.853 1
V5 0.831 0.529 0.358 1
V6 0.837 0.554 0.991 1
H1 0.483 0.672 0.675 1
H2 0.526 0.951 0.338 1
H3 0.543 0.958 0.101 1
H4 0.756 0.759 0.579 1
H5 0.762 0.770 0.761 1
H6 0.791 0.066 0.193 1
O1 0.071 0.212 0.136 1
O2 0.106 0.172 0.822 1
O3 0.140 0.189 0.537 1
O4 0.149 0.527 0.316 1
O5 0.150 0.561 0.044 1
O6 0.261 0.509 0.685 1
O7 0.417 0.033 0.960 1
O8 0.423 0.987 0.412 1
O9 0.489 0.378 0.999 1
O10 0.495 0.333 0.327 1
O11 0.556 0.144 0.680 1
O12 0.660 0.778 0.671 1
O13 0.683 0.943 0.166 1
O14 0.714 0.582 0.175 1
O15 0.782 0.377 0.522 1
O16 0.797 0.399 0.830 1
O17 0.848 0.713 0.444 1
O18 0.860 0.757 0.918 1
```